For CsInSnH, a crystal structure in Alexandria, relaxed with PBE gives the calculated XRD peak list in this record (Cu Ka).
No peak broadening, texture or thermal motion is included.

Cell and atoms:
```
data_CsInSnH
_chemical_formula_sum 'Cs4 In4 Sn4 H4'
_symmetry_space_group_name_H-M 'F m m 2'
_symmetry_Int_Tables_number 42
_symmetry_space_group_name_Hall 'F 2 -2'
_cell_length_a 5.6272
_cell_length_b 5.6493
_cell_length_c 14.6476
_cell_angle_alpha 90.00
_cell_angle_beta 90.00
_cell_angle_gamma 90.00
loop_
_atom_site_label
_atom_site_type_symbol
_atom_site_fract_x
_atom_site_fract_y
_atom_site_fract_z
Cs1 Cs 0.0000 0.0000 0.0000
In1 In 0.0000 0.0000 0.2901
Sn1 Sn 0.0000 0.0000 0.7053
H1 H 0.0000 0.0000 0.4185
```

Main lines, low angle first (2θ from 15° to 90°):
2θ/deg  I_rel
24.3  26
28.9  100
31.7  30
31.8  29
40.3  13
40.4  13
45.5  22
49.2  32
54.7  17
54.9  16


For CsH3Ir, a crystal structure in Alexandria, relaxed with PBE gives the calculated XRD peak list in this record (Cu Ka).
No peak broadening, texture or thermal motion is included.

Cell and atoms:
```
data_CsH3Ir
_chemical_formula_sum 'Cs8 H24 Ir8'
_symmetry_space_group_name_H-M 'C m c e'
_symmetry_Int_Tables_number 64
_symmetry_space_group_name_Hall '-C 2ac 2'
_cell_length_a 12.3292
_cell_length_b 8.8429
_cell_length_c 5.4114
_cell_angle_alpha 90.00
_cell_angle_beta 90.00
_cell_angle_gamma 90.00
loop_
_atom_site_label
_atom_site_type_symbol
_atom_site_fract_x
_atom_site_fract_y
_atom_site_fract_z
Cs1 Cs 0.2500 0.1137 0.2500
H1 H 0.0000 0.0225 0.1689
H2 H 0.0729 0.2039 0.6496
Ir1 Ir 0.0000 0.1709 0.9264
```

Main lines, low angle first (2θ from 15° to 90°):
2θ/deg  I_rel
20.5  41
24.8  29
29.0  69
29.9  100
35.4  77
36.3  44
41.2  48
51.2  26
51.9  21
63.3  28


For Cs3H9Ir2, a crystal structure in Alexandria, relaxed with PBE gives the calculated XRD peak list in this record (Cu Ka).
No peak broadening, texture or thermal motion is included.

Cell and atoms:
```
data_Cs3H9Ir2
_chemical_formula_sum 'Cs6 H18 Ir4'
_symmetry_space_group_name_H-M 'P 63/m m c'
_symmetry_Int_Tables_number 194
_symmetry_space_group_name_Hall '-P 6c 2c'
_cell_length_a 6.3472
_cell_length_b 6.3472
_cell_length_c 15.5928
_cell_angle_alpha 90.00
_cell_angle_beta 90.00
_cell_angle_gamma 120.00
loop_
_atom_site_label
_atom_site_type_symbol
_atom_site_fract_x
_atom_site_fract_y
_atom_site_fract_z
Cs1 Cs 0.0000 0.0000 0.2500
Cs2 Cs 0.3333 0.6667 0.0872
H1 H 0.0844 0.5422 0.7500
H2 H 0.2213 0.4426 0.6004
Ir1 Ir 0.3333 0.6667 0.6686
```

Main lines, low angle first (2θ from 15° to 90°):
2θ/deg  I_rel
16.1  18
17.1  25
23.6  22
28.1  100
33.0  27
43.9  25
49.8  25
52.9  21
58.1  10
61.0  13


For CsH6IrPb, a crystal structure in Alexandria, relaxed with PBE gives the calculated XRD peak list in this record (Cu Ka).
No peak broadening, texture or thermal motion is included.

Cell and atoms:
```
data_CsH6IrPb
_chemical_formula_sum 'Cs1 H6 Ir1 Pb1'
_symmetry_space_group_name_H-M 'P 3 m 1'
_symmetry_Int_Tables_number 156
_cell_length_a 5.1535
_cell_length_b 5.1535
_cell_length_c 6.0224
_cell_angle_alpha 90.00
_cell_angle_beta 90.00
_cell_angle_gamma 120.00
loop_
_symmetry_equiv_pos_as_xyz
'x,y,z'
'-y,x-y,z'
'-x+y,-x,z'
'-y,-x,z'
'-x+y,y,z'
'x,x-y,z'
loop_
_atom_site_label
_atom_site_type_symbol
_atom_site_fract_x
_atom_site_fract_y
_atom_site_fract_z
Cs1 Cs 0.0000 0.0000 0.0000
H1 H 0.3544 0.1772 0.5673
H2 H 0.5181 0.0363 0.2384
Ir1 Ir 0.6667 0.3333 0.4146
Pb1 Pb 0.3333 0.6667 0.5394
```

Main lines, low angle first (2θ from 15° to 90°):
2θ/deg  I_rel
24.8  100
29.7  15
34.8  50
36.0  20
38.0  16
43.2  23
46.4  28
49.8  19
56.7  21
73.3  12


What did the first record say?
For CsInSnH, a crystal structure in Alexandria, relaxed with PBE gives the calculated XRD peak list in this record (Cu Ka).
No peak broadening, texture or thermal motion is included.

Cell and atoms:
```
data_CsInSnH
_chemical_formula_sum 'Cs4 In4 Sn4 H4'
_symmetry_space_group_name_H-M 'F m m 2'
_symmetry_Int_Tables_number 42
_symmetry_space_group_name_Hall 'F 2 -2'
_cell_length_a 5.6272
_cell_length_b 5.6493
_cell_length_c 14.6476
_cell_angle_alpha 90.00
_cell_angle_beta 90.00
_cell_angle_gamma 90.00
loop_
_atom_site_label
_atom_site_type_symbol
_atom_site_fract_x
_atom_site_fract_y
_atom_site_fract_z
Cs1 Cs 0.0000 0.0000 0.0000
In1 In 0.0000 0.0000 0.2901
Sn1 Sn 0.0000 0.0000 0.7053
H1 H 0.0000 0.0000 0.4185
```

Main lines, low angle first (2θ from 15° to 90°):
2θ/deg  I_rel
24.3  26
28.9  100
31.7  30
31.8  29
40.3  13
40.4  13
45.5  22
49.2  32
54.7  17
54.9  16